Simulated powder XRD pattern
Compound: Sr2MgV2Si4O14
Radiation: Cu Kα X-rays
Structure: DFT lattice parameters and positions (PBE+U)
No peak broadening, texture or thermal motion is included.

Atomic structure:
abc: 14.8096 5.5458 7.2887
angles: 90.00 94.38 90.00
Space group C2 (No. 5)
Symmetry-distinct sites (fractional):
Sr1 0.1910 0.0000 0.2760 [4 per cell]
Mg1 0.0000 0.8746 0.0000 [2 per cell]
V1 0.1151 0.0127 0.7415 [4 per cell]
Si1 0.1082 0.5036 0.4806 [4 per cell]
Si2 0.1108 0.4841 0.0351 [4 per cell]
O1 0.0000 0.4748 0.0000 [2 per cell]
O2 0.0000 0.5011 0.5000 [2 per cell]
O3 0.0088 0.0059 0.2447 [4 per cell]
O4 0.1326 0.7568 0.9671 [4 per cell]
O5 0.1363 0.4935 0.2617 [4 per cell]
O6 0.1549 0.7490 0.5685 [4 per cell]
O7 0.1585 0.2513 0.9526 [4 per cell]
O8 0.1583 0.2643 0.5670 [4 per cell]

Main lines, in order of rising 2θ (10 to 90 degrees two-theta):
d [Å]	Rel. int.	(hkl)
3.688	775	4 0 0
3.363	444	3 1 -1
3.211	729	3 1 1
3.015	1000	1 1 -2
2.940	405	1 1 2
2.773	559	0 2 0